Record 1
This entry pairs a crystal structure of RbOsN2 with its computed powder diffractogram. Radiation: Cu Kα. Structure: DFT lattice parameters and positions (PBE).
Lines closer than 0.1° are merged.

Largest 8 diffraction maxima, by angle, 2θ from 15° to 90°:
2theta  I_rel
18.07  229
18.26  239
27.78  218
28.80  409
29.22  171
30.51  1000
52.11  226
58.02  136

Crystal structure
```
32
Lattice="7.824 0.000 0.000 0.000 6.307 0.000 0.000 0.000 12.399" Properties=species:S:1:pos:R:3 pbc="T T T"
Rb 0.908 0.572 3.100
Rb 0.908 2.581 9.299
Rb 2.890 1.577 0.000
Rb 2.890 1.577 6.199
Rb 4.934 4.730 0.000
Rb 4.934 4.730 6.199
Rb 6.916 3.726 3.100
Rb 6.916 5.735 9.299
Os 1.023 4.730 0.000
Os 1.023 4.730 6.199
Os 3.007 4.086 3.100
Os 3.007 5.374 9.299
Os 4.817 0.933 3.100
Os 4.817 2.221 9.299
Os 6.801 1.577 0.000
Os 6.801 1.577 6.199
N 0.000 0.000 0.000
N 0.000 0.000 6.199
N 0.000 3.153 0.000
N 0.000 3.153 6.199
N 2.060 4.451 1.528
N 2.060 4.451 4.671
N 2.060 5.010 7.728
N 2.060 5.010 10.871
N 3.473 0.902 9.299
N 3.473 2.252 3.100
N 4.351 4.055 9.299
N 4.351 5.405 3.100
N 5.764 1.297 1.528
N 5.764 1.297 4.671
N 5.764 1.856 7.728
N 5.764 1.856 10.871
```

---

Record 2
This entry pairs a crystal structure of SrLa9MgGa9O29 with its computed powder diffractogram. Radiation: Cu Kα. Structure: DFT lattice parameters and positions (PBE).
Lines closer than 0.1° are merged.

Largest 8 diffraction maxima, by angle, 2θ from 15° to 90°:
2theta  I_rel
25.95  1000
32.14  620
32.98  556
33.21  547
35.74  459
38.74  877
45.91  359
50.03  195

Crystal structure
```
49
Lattice="5.557 0.000 0.000 -2.778 4.844 0.000 -0.070 -3.085 22.840" Properties=species:S:1:pos:R:3 pbc="T T T"
Sr 0.000 0.000 0.000
La 2.175 0.533 2.480
La 1.036 1.901 6.995
La -0.088 3.224 11.572
La 1.565 -0.298 16.151
La 0.603 1.188 20.512
La 4.350 1.177 4.685
La 3.272 2.533 9.211
La 4.933 -0.982 13.761
La 3.805 0.338 18.398
Mg 2.830 -1.144 21.727
Ga 0.207 0.463 10.378
Ga -1.448 3.984 5.824
Ga -0.917 1.788 14.950
Ga 0.742 -1.743 19.540
Ga -0.189 2.712 1.353
Ga 3.541 -0.201 8.106
Ga 2.420 1.122 12.669
Ga 1.301 2.467 17.181
Ga 1.907 3.361 3.497
O -0.379 -1.741 18.237
O -0.839 0.528 9.005
O -1.967 1.851 13.581
O -2.476 4.025 4.427
O 0.682 2.546 2.742
O 2.385 -0.914 7.169
O 0.151 1.718 16.270
O 1.268 0.415 11.716
O 1.937 -1.774 20.655
O 2.600 -0.011 0.525
O 2.055 -0.844 14.175
O 0.405 2.673 9.603
O 0.959 0.496 18.676
O 1.577 1.342 5.045
O 1.169 -0.397 22.726
O 2.454 -1.682 18.087
O 0.282 4.023 4.502
O 1.932 0.530 9.016
O 0.806 1.858 13.568
O 3.469 2.656 2.463
O 5.158 -0.888 7.122
O 4.041 0.424 11.707
O 2.933 1.749 16.282
O 4.636 -1.659 20.838
O 4.894 0.556 2.007
O 3.910 1.788 6.577
O 2.802 3.114 11.126
O 4.476 -0.410 15.685
O 3.350 0.923 20.355
```

---

Record 3
This entry pairs a crystal structure of Cd3Pt with its computed powder diffractogram. Radiation: Cu Kα. Structure: DFT lattice parameters and positions (PBE).
Lines closer than 0.1° are merged.

Largest 8 diffraction maxima, by angle, 2θ from 15° to 90°:
2theta  I_rel
36.66  1000
40.67  187
43.51  307
61.07  219
63.23  98
71.39  137
75.36  235
77.94  107

Crystal structure
```
8
Lattice="4.160 0.000 0.000 0.000 4.160 0.000 0.000 0.000 8.873" Properties=species:S:1:pos:R:3 pbc="T T T"
Cd 0.000 0.000 0.000
Cd 0.000 2.080 2.218
Cd 0.000 2.080 6.655
Cd 2.080 0.000 2.218
Cd 2.080 0.000 6.655
Cd 2.080 2.080 4.437
Pt 0.000 0.000 4.437
Pt 2.080 2.080 0.000
```

---

Record 4
This entry pairs a crystal structure of PrGePt with its computed powder diffractogram. Radiation: Cu Kα. Structure: DFT lattice parameters and positions (PBE).
Lines closer than 0.1° are merged.

Largest 8 diffraction maxima, by angle, 2θ from 15° to 90°:
2theta  I_rel
32.88  332
33.46  1000
33.57  442
38.35  253
40.09  420
40.36  657
53.25  239
64.75  215

Crystal structure
```
24
Lattice="4.498 0.000 0.000 0.000 14.780 0.000 0.000 0.000 7.724" Properties=species:S:1:pos:R:3 pbc="T T T"
Pr 1.125 0.039 1.611
Pr 1.125 3.695 2.284
Pr 1.125 7.351 1.611
Pr 1.125 11.085 2.254
Pr 3.374 3.695 5.470
Pr 3.374 7.429 6.113
Pr 3.374 11.085 5.441
Pr 3.374 14.741 6.113
Ge 1.125 1.481 4.549
Ge 1.125 5.909 4.549
Ge 1.125 9.690 7.046
Ge 1.125 12.480 7.046
Ge 3.374 2.300 0.678
Ge 3.374 5.090 0.678
Ge 3.374 8.871 3.175
Ge 3.374 13.299 3.175
Pt 1.125 2.089 7.107
Pt 1.125 5.301 7.107
Pt 1.125 8.844 4.500
Pt 1.125 13.326 4.500
Pt 3.374 1.454 3.224
Pt 3.374 5.936 3.224
Pt 3.374 9.479 0.617
Pt 3.374 12.691 0.617
```

---

Record 5
This entry pairs a crystal structure of PrSi2 with its computed powder diffractogram. Radiation: Cu Kα. Structure: DFT lattice parameters and positions (PBE).
Lines closer than 0.1° are merged.

Largest 8 diffraction maxima, by angle, 2θ from 15° to 90°:
2theta  I_rel
21.93  371
25.15  206
28.33  499
32.50  1000
38.24  405
42.75  317
58.69  229
71.82  198

Crystal structure
```
12
Lattice="4.230 0.000 0.000 0.000 4.230 0.000 0.000 0.000 14.164" Properties=species:S:1:pos:R:3 pbc="T T T"
Pr 0.000 1.057 5.311
Pr 0.000 3.172 8.852
Pr 2.115 1.057 1.770
Pr 2.115 3.172 12.393
Si 0.000 1.057 11.206
Si 0.000 1.057 13.580
Si 0.000 3.172 0.583
Si 0.000 3.172 2.958
Si 2.115 1.057 7.665
Si 2.115 1.057 10.039
Si 2.115 3.172 4.124
Si 2.115 3.172 6.498
```

---

Record 6
This entry pairs a crystal structure of KRuO4 with its computed powder diffractogram. Radiation: Cu Kα. Structure: DFT lattice parameters and positions (PBE).
Lines closer than 0.1° are merged.

Largest 8 diffraction maxima, by angle, 2θ from 15° to 90°:
2theta  I_rel
16.81  406
25.60  174
25.75  1000
27.24  144
31.03  188
41.76  271
47.24  152
52.09  241

Crystal structure
```
12
Lattice="-2.882 2.882 6.548 2.882 -2.882 6.548 2.882 2.882 -6.548" Properties=species:S:1:pos:R:3 pbc="T T T"
K 0.000 1.441 1.637
K 2.882 1.441 4.911
Ru 2.882 1.441 -1.637
Ru 0.000 1.441 8.185
O 1.583 0.797 -0.649
O 2.238 -0.142 2.624
O 2.238 2.739 -2.624
O 1.298 -0.797 5.898
O 1.583 3.679 0.649
O 0.643 0.142 9.172
O 0.643 3.024 3.923
O 1.298 2.084 7.197
```

---

Record 7
This entry pairs a crystal structure of MnInGaS4 with its computed powder diffractogram. Radiation: Cu Kα. Structure: DFT lattice parameters and positions (PBE).
Lines closer than 0.1° are merged.

Largest 8 diffraction maxima, by angle, 2θ from 15° to 90°:
2theta  I_rel
21.05  1000
26.87  517
27.18  670
28.39  915
32.84  806
41.10  574
47.26  855
49.10  624

Crystal structure
```
7
Lattice="1.923 1.110 12.659 -1.923 1.110 12.659 0.000 -2.221 12.659" Properties=species:S:1:pos:R:3 pbc="T T T"
Mn 0.000 0.000 0.000
In 0.000 0.000 20.146
Ga 0.000 0.000 28.957
S 0.000 0.000 2.467
S 0.000 0.000 17.681
S 0.000 0.000 24.557
S 0.000 0.000 33.956
```

---

Record 8
This entry pairs a crystal structure of HfMnTl with its computed powder diffractogram. Radiation: Cu Kα. Structure: DFT lattice parameters and positions (PBE).
Lines closer than 0.1° are merged.

Largest 8 diffraction maxima, by angle, 2θ from 15° to 90°:
2theta  I_rel
23.84  669
39.42  1000
46.59  350
56.97  171
62.62  149
71.48  347
76.56  113
89.72  120

Crystal structure
```
12
Lattice="6.466 0.000 0.000 0.000 6.466 0.000 0.000 0.000 6.466" Properties=species:S:1:pos:R:3 pbc="T T T"
Hf 0.000 0.000 0.000
Hf 0.000 3.233 3.233
Hf 3.233 0.000 3.233
Hf 3.233 3.233 0.000
Mn 1.616 1.616 4.849
Mn 1.616 4.849 1.616
Mn 4.849 1.616 1.616
Mn 4.849 4.849 4.849
Tl 1.616 1.616 1.616
Tl 1.616 4.849 4.849
Tl 4.849 1.616 4.849
Tl 4.849 4.849 1.616
```